NbNi5Pt8: theoretical powder X-ray diffraction pattern (Cu Ka), based on DFT lattice parameters and positions (PBE).
No peak broadening, texture or thermal motion is included.

Structure:
abc: 6.488 6.488 6.488
angles: 110.02 110.02 108.38
Sites, in units of the cell vectors:
Nb: 0.000 0.000 0.000
Ni: 0.036 0.450 0.821
Ni: 0.250 0.750 0.500
Ni: 0.550 0.372 0.586
Ni: 0.628 0.214 0.179
Ni: 0.786 0.964 0.414
Pt: 0.102 0.325 0.435
Pt: 0.260 0.162 0.766
Pt: 0.333 0.898 0.223
Pt: 0.396 0.495 0.234
Pt: 0.505 0.740 0.901
Pt: 0.675 0.110 0.777
Pt: 0.838 0.604 0.099
Pt: 0.890 0.667 0.565

Most intense lines, 2θ from 10° to 90°, sorted by position:
- 29.3°, I 73
- 37.5°, I 53
- 38.2°, I 100
- 45.0°, I 68
- 45.3°, I 58
- 45.5°, I 49
- 60.8°, I 24
- 62.9°, I 18
- 63.7°, I 20
- 78.9°, I 21


NbNi23Pt6: theoretical powder X-ray diffraction pattern (Cu Ka), based on DFT lattice parameters and positions (PBE).
No peak broadening, texture or thermal motion is included.

Structure:
abc: 8.059 8.059 8.059
angles: 60.00 60.00 60.00
Sites, in units of the cell vectors:
Nb: 0.000 0.000 0.000
Ni: 0.000 0.000 0.500
Ni: 0.000 0.500 0.000
Ni: 0.000 0.500 0.500
Ni: 0.128 0.624 0.624
Ni: 0.160 0.160 0.160
Ni: 0.160 0.160 0.520
Ni: 0.160 0.520 0.160
Ni: 0.376 0.376 0.376
Ni: 0.376 0.376 0.872
Ni: 0.376 0.872 0.376
Ni: 0.480 0.840 0.840
Ni: 0.500 0.000 0.000
Ni: 0.500 0.000 0.500
Ni: 0.500 0.500 0.000
Ni: 0.500 0.500 0.500
Ni: 0.520 0.160 0.160
Ni: 0.624 0.128 0.624
Ni: 0.624 0.624 0.128
Ni: 0.624 0.624 0.624
Ni: 0.840 0.480 0.840
Ni: 0.840 0.840 0.480
Ni: 0.840 0.840 0.840
Ni: 0.872 0.376 0.376
Pt: 0.233 0.233 0.767
Pt: 0.233 0.767 0.233
Pt: 0.233 0.767 0.767
Pt: 0.767 0.233 0.233
Pt: 0.767 0.233 0.767
Pt: 0.767 0.767 0.233

Most intense lines, 2θ from 10° to 90°, sorted by position:
- 27.1°, I 17
- 31.4°, I 16
- 35.2°, I 20
- 38.7°, I 10
- 41.2°, I 21
- 45.0°, I 100
- 47.9°, I 9
- 65.5°, I 11
- 74.5°, I 10
- 83.0°, I 22